(1)
# KRbNp4S8
Computed X-ray powder pattern, Cu Kα. Input: the GGA-PBE geometry in Alexandria.
Lines closer than 0.1° are merged.

The 12 most intense peaks (2θ from 10° to 80°), in order of rising 2θ:
- hkl 0 0 3, d = 7.274 Å, 2θ = 12.2°, I 68.8
- hkl 0 1 2, d = 5.944 Å, 2θ = 14.9°, I 32.0
- hkl 1 0 4, d = 4.323 Å, 2θ = 20.5°, I 61.0
- hkl 0 1 5, d = 3.716 Å, 2θ = 23.9°, I 36.6
- hkl 1 1 3, d = 3.567 Å, 2θ = 25.0°, I 75.8
- hkl 0 2 1, d = 3.499 Å, 2θ = 25.5°, I 100.0
- hkl 2 0 2, d = 3.371 Å, 2θ = 26.4°, I 29.8
- hkl 0 2 4, d = 2.972 Å, 2θ = 30.1°, I 40.0
- hkl 0 2 7, d = 2.341 Å, 2θ = 38.5°, I 52.5
- hkl 1 2 5, d = 2.283 Å, 2θ = 39.5°, I 24.9
- hkl 2 0 8, d = 2.162 Å, 2θ = 41.8°, I 55.2
- hkl 2 2 0, d = 2.046 Å, 2θ = 44.3°, I 53.6

Atomic structure:
Unit cell a=8.1854 b=8.1854 c=21.8211 alpha=90.00 beta=90.00 gamma=120.00
Space group R3m (No. 160, hexagonal axes)
Symmetry-distinct sites (fractional):
K: 0.0000 0.0000 0.0000 x3
Rb: 0.0000 0.0000 0.3651 x3
Np: 0.0000 0.0000 0.6200 x3
Np: 0.1683 0.3366 0.8312 x9
S: 0.0000 0.0000 0.2257 x3
S: 0.0000 0.0000 0.7566 x3
S: 0.0356 0.5178 0.7698 x9
S: 0.1718 0.3436 0.5687 x9


(2)
# K2NpRh2S6
Computed X-ray powder pattern, Cu Kα. Input: the GGA-PBE geometry in Alexandria.
Lines closer than 0.1° are merged.

The 12 most intense peaks (2θ from 10° to 80°), in order of rising 2θ:
- hkl 0 0 1, d = 7.635 Å, 2θ = 11.6°, I 100.0
- hkl 1 1 0, d = 5.226 Å, 2θ = 17.0°, I 9.0
- hkl 0 0 2, d = 3.818 Å, 2θ = 23.3°, I 15.3
- hkl 1 3 0, d = 3.090 Å, 2θ = 28.9°, I 12.8
- hkl 1 3 -1, d = 3.000 Å, 2θ = 29.8°, I 12.5
- hkl 1 3 1, d = 2.746 Å, 2θ = 32.6°, I 41.4
- hkl 2 0 -2, d = 2.691 Å, 2θ = 33.3°, I 20.1
- hkl 1 3 2, d = 2.266 Å, 2θ = 39.8°, I 14.0
- hkl 2 0 2, d = 2.113 Å, 2θ = 42.8°, I 7.7
- hkl 1 3 -3, d = 2.099 Å, 2θ = 43.1°, I 15.2
- hkl 1 3 3, d = 1.853 Å, 2θ = 49.2°, I 7.3
- hkl 3 3 -1, d = 1.783 Å, 2θ = 51.2°, I 11.5

Atomic structure:
Unit cell a=6.151 b=10.839 c=7.874 alpha=90.00 beta=104.15 gamma=90.00
Space group C2/m (No. 12)
Symmetry-distinct sites (fractional):
K: 0.000 0.160 0.000 x4
Np: 0.000 0.000 0.500 x2
Rh: 0.000 0.334 0.500 x4
S: 0.191 0.500 0.685 x4
S: 0.238 0.182 0.683 x8


(3)
# KNp2RhSe4
Computed X-ray powder pattern, Cu Kα. Input: the GGA-PBE geometry in Alexandria.
Lines closer than 0.1° are merged.

The 12 most intense peaks (2θ from 10° to 80°), in order of rising 2θ:
- hkl 0 0 2, d = 7.150 Å, 2θ = 12.4°, I 42.2
- hkl 0 2 1, d = 6.395 Å, 2θ = 13.8°, I 100.0
- hkl 0 2 3, d = 3.966 Å, 2θ = 22.4°, I 37.5
- hkl 1 3 0, d = 3.076 Å, 2θ = 29.0°, I 29.3
- hkl 1 3 1, d = 3.007 Å, 2θ = 29.7°, I 62.9
- hkl 1 3 2, d = 2.826 Å, 2θ = 31.7°, I 97.5
- hkl 0 2 5, d = 2.656 Å, 2θ = 33.8°, I 44.8
- hkl 1 3 3, d = 2.585 Å, 2θ = 34.7°, I 25.3
- hkl 0 0 6, d = 2.383 Å, 2θ = 37.7°, I 22.9
- hkl 0 6 3, d = 2.132 Å, 2θ = 42.4°, I 29.0
- hkl 1 5 3, d = 2.095 Å, 2θ = 43.2°, I 86.1
- hkl 2 0 0, d = 2.014 Å, 2θ = 45.0°, I 31.4

Atomic structure:
Unit cell a=4.027 b=14.300 c=14.301 alpha=90.00 beta=90.00 gamma=90.00
Space group Cmcm (No. 63)
Symmetry-distinct sites (fractional):
K: 0.000 0.112 0.250 x4
Np: 0.000 0.366 0.066 x8
Rh: 0.000 0.162 0.750 x4
Se: 0.000 0.000 0.000 x4
Se: 0.000 0.268 0.608 x8
Se: 0.000 0.437 0.250 x4


Repeat the second record exactly.
# K2NpRh2S6
Computed X-ray powder pattern, Cu Kα. Input: the GGA-PBE geometry in Alexandria.
Lines closer than 0.1° are merged.

The 12 most intense peaks (2θ from 10° to 80°), in order of rising 2θ:
- hkl 0 0 1, d = 7.635 Å, 2θ = 11.6°, I 100.0
- hkl 1 1 0, d = 5.226 Å, 2θ = 17.0°, I 9.0
- hkl 0 0 2, d = 3.818 Å, 2θ = 23.3°, I 15.3
- hkl 1 3 0, d = 3.090 Å, 2θ = 28.9°, I 12.8
- hkl 1 3 -1, d = 3.000 Å, 2θ = 29.8°, I 12.5
- hkl 1 3 1, d = 2.746 Å, 2θ = 32.6°, I 41.4
- hkl 2 0 -2, d = 2.691 Å, 2θ = 33.3°, I 20.1
- hkl 1 3 2, d = 2.266 Å, 2θ = 39.8°, I 14.0
- hkl 2 0 2, d = 2.113 Å, 2θ = 42.8°, I 7.7
- hkl 1 3 -3, d = 2.099 Å, 2θ = 43.1°, I 15.2
- hkl 1 3 3, d = 1.853 Å, 2θ = 49.2°, I 7.3
- hkl 3 3 -1, d = 1.783 Å, 2θ = 51.2°, I 11.5

Atomic structure:
Unit cell a=6.151 b=10.839 c=7.874 alpha=90.00 beta=104.15 gamma=90.00
Space group C2/m (No. 12)
Symmetry-distinct sites (fractional):
K: 0.000 0.160 0.000 x4
Np: 0.000 0.000 0.500 x2
Rh: 0.000 0.334 0.500 x4
S: 0.191 0.500 0.685 x4
S: 0.238 0.182 0.683 x8


Repeat the third record exactly.
# KNp2RhSe4
Computed X-ray powder pattern, Cu Kα. Input: the GGA-PBE geometry in Alexandria.
Lines closer than 0.1° are merged.

The 12 most intense peaks (2θ from 10° to 80°), in order of rising 2θ:
- hkl 0 0 2, d = 7.150 Å, 2θ = 12.4°, I 42.2
- hkl 0 2 1, d = 6.395 Å, 2θ = 13.8°, I 100.0
- hkl 0 2 3, d = 3.966 Å, 2θ = 22.4°, I 37.5
- hkl 1 3 0, d = 3.076 Å, 2θ = 29.0°, I 29.3
- hkl 1 3 1, d = 3.007 Å, 2θ = 29.7°, I 62.9
- hkl 1 3 2, d = 2.826 Å, 2θ = 31.7°, I 97.5
- hkl 0 2 5, d = 2.656 Å, 2θ = 33.8°, I 44.8
- hkl 1 3 3, d = 2.585 Å, 2θ = 34.7°, I 25.3
- hkl 0 0 6, d = 2.383 Å, 2θ = 37.7°, I 22.9
- hkl 0 6 3, d = 2.132 Å, 2θ = 42.4°, I 29.0
- hkl 1 5 3, d = 2.095 Å, 2θ = 43.2°, I 86.1
- hkl 2 0 0, d = 2.014 Å, 2θ = 45.0°, I 31.4

Atomic structure:
Unit cell a=4.027 b=14.300 c=14.301 alpha=90.00 beta=90.00 gamma=90.00
Space group Cmcm (No. 63)
Symmetry-distinct sites (fractional):
K: 0.000 0.112 0.250 x4
Np: 0.000 0.366 0.066 x8
Rh: 0.000 0.162 0.750 x4
Se: 0.000 0.000 0.000 x4
Se: 0.000 0.268 0.608 x8
Se: 0.000 0.437 0.250 x4